# 1
This entry pairs a crystal structure of SmMg4Cu2 with its theoretical powder X-ray diffraction pattern. Radiation: Cu Kα (λ = 1.5418 Å). Structure: a GGA-PBE-relaxed structure.
No peak broadening, texture or thermal motion is included.

Atomic structure:
```
data_SmMg4Cu2
_cell_length_a 8.397
_cell_length_b 8.397
_cell_length_c 4.241
_cell_angle_alpha 90.00
_cell_angle_beta 90.00
_cell_angle_gamma 150.60
_space_group_name_H-M_alt 'P 1'
_space_group_IT_number 1
loop_
_space_group_symop_operation_xyz
'x,y,z'
loop_
_atom_site_label
_atom_site_type_symbol
_atom_site_fract_x
_atom_site_fract_y
_atom_site_fract_z
_atom_site_occupancy
Sm1 Sm 0.000 0.000 0.000 1
Mg1 Mg 0.175 0.825 0.500 1
Mg2 Mg 0.324 0.676 0.000 1
Mg3 Mg 0.676 0.324 0.000 1
Mg4 Mg 0.825 0.175 0.500 1
Cu1 Cu 0.426 0.574 0.500 1
Cu2 Cu 0.574 0.426 0.500 1
```

Largest 10 diffraction maxima, most intense first, 2θ = 5–70°:
2θ (°), intensity
10.89, 100.0
34.11, 74.4
30.24, 69.5
34.72, 27.7
39.49, 25.4
30.48, 23.6
42.42, 20.3
42.64, 20.0
44.45, 19.2
59.34, 14.9



# 2
This entry pairs a crystal structure of SmTmMgCu with its theoretical powder X-ray diffraction pattern. Radiation: Cu Kα (λ = 1.5418 Å). Structure: a GGA-PBE-relaxed structure.
No peak broadening, texture or thermal motion is included.

Atomic structure:
```
data_SmTmMgCu
_cell_length_a 5.145
_cell_length_b 5.145
_cell_length_c 5.145
_cell_angle_alpha 60.00
_cell_angle_beta 60.00
_cell_angle_gamma 60.00
_space_group_name_H-M_alt 'P 1'
_space_group_IT_number 1
loop_
_space_group_symop_operation_xyz
'x,y,z'
loop_
_atom_site_label
_atom_site_type_symbol
_atom_site_fract_x
_atom_site_fract_y
_atom_site_fract_z
_atom_site_occupancy
Sm1 Sm 0.000 0.000 0.000 1
Tm1 Tm 0.500 0.500 0.500 1
Mg1 Mg 0.750 0.750 0.750 1
Cu1 Cu 0.250 0.250 0.250 1
```

Largest 9 diffraction maxima, most intense first, 2θ = 5–70°:
2θ (°), intensity
34.87, 100.0
62.53, 36.2
24.47, 35.6
50.15, 17.7
56.56, 15.0
43.06, 10.9
21.15, 3.0
41.14, 1.7
55.01, 0.7



# 3
This entry pairs a crystal structure of SmMg2Zn2Cu with its theoretical powder X-ray diffraction pattern. Radiation: Cu Kα (λ = 1.5418 Å). Structure: a GGA-PBE-relaxed structure.
No peak broadening, texture or thermal motion is included.

Atomic structure:
```
data_SmMg2Zn2Cu
_cell_length_a 6.457
_cell_length_b 6.457
_cell_length_c 6.457
_cell_angle_alpha 133.66
_cell_angle_beta 133.66
_cell_angle_gamma 67.62
_space_group_name_H-M_alt 'P 1'
_space_group_IT_number 1
loop_
_space_group_symop_operation_xyz
'x,y,z'
loop_
_atom_site_label
_atom_site_type_symbol
_atom_site_fract_x
_atom_site_fract_y
_atom_site_fract_z
_atom_site_occupancy
Sm1 Sm 0.000 0.000 0.000 1
Mg1 Mg 0.250 0.750 0.500 1
Mg2 Mg 0.750 0.250 0.500 1
Zn1 Zn 0.284 0.284 0.000 1
Zn2 Zn 0.716 0.716 0.000 1
Cu1 Cu 0.500 0.500 0.000 1
```

Largest 10 diffraction maxima, most intense first, 2θ = 5–70°:
2θ (°), intensity
24.78, 100.0
35.32, 70.9
49.40, 41.8
42.03, 35.1
30.56, 33.0
33.40, 32.3
29.93, 25.2
50.82, 24.5
62.18, 20.4
47.39, 19.7



# 4
This entry pairs a crystal structure of Mg3CuSn with its theoretical powder X-ray diffraction pattern. Radiation: Cu Kα (λ = 1.5418 Å). Structure: a GGA-PBE-relaxed structure.
No peak broadening, texture or thermal motion is included.

Atomic structure:
```
data_Mg3CuSn
_cell_length_a 8.865
_cell_length_b 7.702
_cell_length_c 3.074
_cell_angle_alpha 90.00
_cell_angle_beta 90.00
_cell_angle_gamma 90.00
_space_group_name_H-M_alt 'P 1'
_space_group_IT_number 1
loop_
_space_group_symop_operation_xyz
'x,y,z'
loop_
_atom_site_label
_atom_site_type_symbol
_atom_site_fract_x
_atom_site_fract_y
_atom_site_fract_z
_atom_site_occupancy
Mg1 Mg 0.048 0.213 0.000 1
Mg2 Mg 0.250 0.558 0.000 1
Mg3 Mg 0.452 0.213 0.000 1
Mg4 Mg 0.548 0.787 0.000 1
Mg5 Mg 0.750 0.442 0.000 1
Mg6 Mg 0.952 0.787 0.000 1
Cu1 Cu 0.000 0.500 0.501 1
Cu2 Cu 0.500 0.500 0.501 1
Sn1 Sn 0.250 0.938 0.499 1
Sn2 Sn 0.750 0.062 0.499 1
```

Largest 10 diffraction maxima, most intense first, 2θ = 5–70°:
2θ (°), intensity
37.46, 100.0
23.14, 81.6
65.37, 24.3
36.43, 18.2
40.71, 17.3
38.83, 17.0
50.74, 14.0
15.24, 11.2
56.49, 11.2
40.61, 11.1



# 5
This entry pairs a crystal structure of SrMgCu2 with its theoretical powder X-ray diffraction pattern. Radiation: Cu Kα (λ = 1.5418 Å). Structure: a GGA-PBE-relaxed structure.
No peak broadening, texture or thermal motion is included.

Atomic structure:
```
data_SrMgCu2
_cell_length_a 3.413
_cell_length_b 3.413
_cell_length_c 7.381
_cell_angle_alpha 90.00
_cell_angle_beta 90.00
_cell_angle_gamma 90.00
_space_group_name_H-M_alt 'P 1'
_space_group_IT_number 1
loop_
_space_group_symop_operation_xyz
'x,y,z'
loop_
_atom_site_label
_atom_site_type_symbol
_atom_site_fract_x
_atom_site_fract_y
_atom_site_fract_z
_atom_site_occupancy
Sr1 Sr 0.000 0.000 0.000 1
Mg1 Mg 0.500 0.500 0.630 1
Cu1 Cu 0.000 0.000 0.418 1
Cu2 Cu 0.500 0.500 0.283 1
```

Largest 10 diffraction maxima, most intense first, 2θ = 5–70°:
2θ (°), intensity
35.84, 100.0
37.26, 73.3
11.99, 59.7
66.26, 30.8
45.44, 26.7
53.71, 24.4
28.82, 17.4
53.16, 17.1
39.28, 13.7
36.52, 13.0



# 6
This entry pairs a crystal structure of SrMg2Cu4 with its theoretical powder X-ray diffraction pattern. Radiation: Cu Kα (λ = 1.5418 Å). Structure: a GGA-PBE-relaxed structure.
No peak broadening, texture or thermal motion is included.

Atomic structure:
```
data_SrMg2Cu4
_cell_length_a 6.998
_cell_length_b 6.998
_cell_length_c 6.998
_cell_angle_alpha 109.07
_cell_angle_beta 109.07
_cell_angle_gamma 110.27
_space_group_name_H-M_alt 'P 1'
_space_group_IT_number 1
loop_
_space_group_symop_operation_xyz
'x,y,z'
loop_
_atom_site_label
_atom_site_type_symbol
_atom_site_fract_x
_atom_site_fract_y
_atom_site_fract_z
_atom_site_occupancy
Sr1 Sr 0.250 0.250 0.000 1
Sr2 Sr 0.750 0.750 0.000 1
Mg1 Mg 0.169 0.669 0.837 1
Mg2 Mg 0.331 0.169 0.500 1
Mg3 Mg 0.669 0.831 0.500 1
Mg4 Mg 0.831 0.331 0.163 1
Cu1 Cu 0.032 0.784 0.500 1
Cu2 Cu 0.216 0.716 0.249 1
Cu3 Cu 0.284 0.532 0.500 1
Cu4 Cu 0.468 0.968 0.751 1
Cu5 Cu 0.532 0.032 0.249 1
Cu6 Cu 0.716 0.468 0.500 1
Cu7 Cu 0.784 0.284 0.751 1
Cu8 Cu 0.968 0.216 0.500 1
```

Largest 10 diffraction maxima, most intense first, 2θ = 5–70°:
2θ (°), intensity
34.94, 100.0
42.04, 99.3
53.24, 31.3
26.97, 29.4
22.22, 27.2
31.39, 27.1
41.80, 26.8
15.43, 22.2
41.67, 21.6
48.18, 17.3